# TbDyTm
Computed X-ray powder pattern, Cu Kα, 1.54184 Å. Input: the PBE geometry in Alexandria.

The 10 most intense peaks (2θ = 15–90°), most intense first:
| Position (°2θ) | intensity |
| --- | --- |
| 32.1 | 100.0 |
| 31.7 | 50.9 |
| 32.6 | 48.5 |
| 32.9 | 48.2 |
| 30.3 | 39.9 |
| 62.5 | 22.5 |
| 48.0 | 19.8 |
| 62.8 | 17.5 |
| 52.1 | 14.0 |
| 43.4 | 13.2 |

Cell and atoms:
```
TbDyTm
1.0
3.5139 0.0000 0.0000
1.7503 6.4757 0.0000
1.7567 1.6263 8.2376
Tb Dy Tm
2 2 2
direct
0.1414 0.2434 0.4754
0.8586 0.7566 0.5246
0.3908 0.3830 0.8363
0.6092 0.6170 0.1637
0.1244 0.9143 0.8352
0.8756 0.0857 0.1648
```

# TlIn4Br5
Computed X-ray powder pattern, Cu Kα, 1.54184 Å. Input: the PBE geometry in Alexandria.

The 10 most intense peaks (2θ = 15–90°), most intense first:
| Position (°2θ) | intensity |
| --- | --- |
| 26.6 | 100.0 |
| 38.0 | 77.4 |
| 62.0 | 35.9 |
| 47.0 | 27.8 |
| 68.7 | 26.3 |
| 87.4 | 17.8 |
| 54.8 | 13.0 |
| 23.0 | 11.3 |
| 81.3 | 8.4 |
| 44.9 | 6.0 |

Cell and atoms:
```
TlIn4Br5
1.0
-5.2929 5.2929 3.3482
5.2929 -5.2929 3.3482
5.2929 5.2929 -3.3482
Tl In Br
1 4 5
direct
0.0000 0.0000 0.0000
0.1982 0.5993 0.8010
0.3972 0.1982 0.5988
0.5993 0.7984 0.4012
0.7984 0.3972 0.1990
0.0984 0.3004 0.4025
0.3004 0.8979 0.2020
0.5000 0.5000 0.0000
0.6959 0.0984 0.7980
0.8979 0.6959 0.5975
```

# PmCuNi5
Computed X-ray powder pattern, Cu Kα, 1.54184 Å. Input: the PBE geometry in Alexandria.

The 10 most intense peaks (2θ = 15–90°), most intense first:
| Position (°2θ) | intensity |
| --- | --- |
| 40.0 | 100.0 |
| 47.0 | 45.4 |
| 37.9 | 32.7 |
| 47.7 | 21.5 |
| 36.9 | 20.2 |
| 68.6 | 18.7 |
| 43.7 | 16.0 |
| 44.7 | 16.0 |
| 41.2 | 15.3 |
| 69.9 | 14.7 |

Cell and atoms:
```
PmCuNi5
1.0
7.8751 0.0000 0.0000
0.0000 4.8752 0.0000
0.0000 0.0000 9.9674
Pm Cu Ni
4 4 20
direct
0.2399 0.2500 0.0599
0.2601 0.7500 0.5599
0.7399 0.2500 0.4401
0.7601 0.7500 0.9401
0.1438 0.7500 0.8553
0.3562 0.2500 0.3553
0.6438 0.7500 0.6447
0.8562 0.2500 0.1447
0.0603 0.7500 0.1000
0.0671 0.0042 0.3106
0.0671 0.4958 0.3106
0.1011 0.2500 0.5185
0.1833 0.2500 0.7540
0.3167 0.7500 0.2540
0.3989 0.7500 0.0185
0.4329 0.5042 0.8106
0.4329 0.9958 0.8106
0.4397 0.2500 0.6000
0.5603 0.7500 0.4000
0.5671 0.0042 0.1894
0.5671 0.4958 0.1894
0.6011 0.2500 0.9815
0.6833 0.2500 0.7460
0.8167 0.7500 0.2460
0.8989 0.7500 0.4815
0.9329 0.5042 0.6894
0.9329 0.9958 0.6894
0.9397 0.2500 0.9000
```

# CeTcO
Computed X-ray powder pattern, Cu Kα, 1.54184 Å. Input: the PBE geometry in Alexandria.

The 10 most intense peaks (2θ = 15–90°), most intense first:
| Position (°2θ) | intensity |
| --- | --- |
| 29.8 | 100.0 |
| 45.4 | 61.9 |
| 31.9 | 52.2 |
| 57.7 | 44.3 |
| 33.6 | 35.4 |
| 56.5 | 27.7 |
| 36.9 | 21.9 |
| 55.3 | 17.5 |
| 75.3 | 16.3 |
| 26.0 | 15.3 |

Cell and atoms:
```
CeTcO
1.0
1.9971 1.1530 8.0019
-1.9971 1.1530 8.0019
0.0000 -2.3061 8.0019
Ce Tc O
2 2 2
direct
0.1038 0.1038 0.1038
0.8962 0.8962 0.8962
0.3424 0.3424 0.3424
0.6576 0.6576 0.6576
0.2009 0.2009 0.2009
0.7991 0.7991 0.7991
```

# Ba2UCdS6
Computed X-ray powder pattern, Cu Kα, 1.54184 Å. Input: the PBE geometry in Alexandria.

The 10 most intense peaks (2θ = 15–90°), most intense first:
| Position (°2θ) | intensity |
| --- | --- |
| 24.5 | 100.0 |
| 24.7 | 99.8 |
| 34.9 | 81.1 |
| 43.7 | 72.3 |
| 24.9 | 46.8 |
| 24.0 | 44.4 |
| 35.3 | 34.9 |
| 42.7 | 28.7 |
| 42.5 | 28.1 |
| 50.3 | 22.5 |

Cell and atoms:
```
Ba2UCdS6
1.0
6.2729 -3.5727 0.0000
6.2729 3.5727 0.0000
-4.3277 0.0000 6.0112
Ba U Cd S
2 1 1 6
direct
0.2472 0.2472 0.2568
0.7528 0.7528 0.7432
0.0000 0.0000 0.5000
0.5000 0.5000 0.0000
0.2010 0.7067 0.6938
0.2422 0.2422 0.8255
0.2933 0.7990 0.3062
0.7067 0.2010 0.6938
0.7578 0.7578 0.1745
0.7990 0.2933 0.3062
```

# Cs2Tl2W
Computed X-ray powder pattern, Cu Kα, 1.54184 Å. Input: the PBE geometry in Alexandria.

The 10 most intense peaks (2θ = 15–90°), most intense first:
| Position (°2θ) | intensity |
| --- | --- |
| 29.0 | 100.0 |
| 27.3 | 52.1 |
| 47.7 | 41.1 |
| 40.1 | 33.9 |
| 31.9 | 31.9 |
| 22.7 | 27.3 |
| 78.3 | 25.0 |
| 30.0 | 21.5 |
| 49.1 | 20.5 |
| 22.4 | 20.5 |

Cell and atoms:
```
Cs2Tl2W
1.0
4.5016 0.0000 0.0000
0.0000 4.5016 0.0000
0.0000 0.0000 23.7907
Cs Tl W
4 4 2
direct
0.0000 0.0000 0.0987
0.0000 0.0000 0.9013
0.5000 0.5000 0.4013
0.5000 0.5000 0.5987
0.0000 0.5000 0.2500
0.0000 0.5000 0.7500
0.5000 0.0000 0.2500
0.5000 0.0000 0.7500
0.0000 0.0000 0.5000
0.5000 0.5000 0.0000
```

# Li3Tl2
Computed X-ray powder pattern, Cu Kα, 1.54184 Å. Input: the PBE geometry in Alexandria.

The 10 most intense peaks (2θ = 15–90°), most intense first:
| Position (°2θ) | intensity |
| --- | --- |
| 21.7 | 100.0 |
| 25.7 | 82.2 |
| 35.9 | 56.1 |
| 36.0 | 50.4 |
| 33.4 | 39.4 |
| 18.8 | 31.7 |
| 36.5 | 30.8 |
| 44.5 | 24.2 |
| 31.8 | 21.1 |
| 36.3 | 16.8 |

Cell and atoms:
```
Li3Tl2
1.0
0.0000 7.2383 2.8915
4.9517 0.0000 2.8915
4.9517 7.2383 0.0000
Li Tl
6 4
direct
0.0000 0.0000 0.0000
0.2500 0.2500 0.2500
0.3780 0.6657 0.4225
0.6657 0.3780 0.5338
0.7162 0.8275 0.5843
0.8275 0.7162 0.8720
0.1437 0.4852 0.9606
0.2894 0.8395 0.1063
0.4852 0.1437 0.4105
0.8395 0.2894 0.7648
```

# ErInRu
Computed X-ray powder pattern, Cu Kα, 1.54184 Å. Input: the PBE geometry in Alexandria.

The 10 most intense peaks (2θ = 15–90°), most intense first:
| Position (°2θ) | intensity |
| --- | --- |
| 39.1 | 100.0 |
| 38.9 | 51.2 |
| 27.2 | 28.2 |
| 23.6 | 27.9 |
| 70.4 | 25.8 |
| 56.1 | 17.3 |
| 27.5 | 13.5 |
| 70.9 | 12.4 |
| 46.0 | 9.1 |
| 48.2 | 8.8 |

Cell and atoms:
```
ErInRu
1.0
4.6336 -4.6382 0.0000
4.6336 4.6382 0.0000
-4.6157 0.0000 6.4906
Er In Ru
4 4 4
direct
0.0056 0.2555 0.0110
0.2555 0.0056 0.5110
0.7445 0.9944 0.4890
0.9944 0.7445 0.9890
0.2516 0.5013 0.5020
0.4987 0.7484 0.9980
0.5013 0.2516 0.0020
0.7484 0.4987 0.4980
0.1257 0.3760 0.7497
0.3760 0.1257 0.2497
0.6240 0.8743 0.7503
0.8743 0.6240 0.2503
```

# Tl8Hg2Pb3
Computed X-ray powder pattern, Cu Kα, 1.54184 Å. Input: the PBE geometry in Alexandria.

The 10 most intense peaks (2θ = 15–90°), most intense first:
| Position (°2θ) | intensity |
| --- | --- |
| 30.9 | 100.0 |
| 29.4 | 49.8 |
| 33.9 | 34.0 |
| 35.3 | 33.7 |
| 37.1 | 32.2 |
| 39.1 | 22.9 |
| 52.1 | 18.9 |
| 29.7 | 16.3 |
| 56.3 | 14.9 |
| 61.3 | 14.4 |

Cell and atoms:
```
Tl8Hg2Pb3
1.0
7.6062 -5.0872 0.0000
7.6062 5.0872 0.0000
-1.6088 0.0000 5.2816
Tl Hg Pb
8 2 3
direct
0.0623 0.0623 0.2813
0.1054 0.5602 0.8486
0.3224 0.3224 0.3791
0.4398 0.8946 0.1514
0.5602 0.1054 0.8486
0.6776 0.6776 0.6209
0.8946 0.4398 0.1514
0.9377 0.9377 0.7187
0.1779 0.1779 0.8230
0.8221 0.8221 0.1770
0.2895 0.7105 0.5000
0.5000 0.5000 0.0000
0.7105 0.2895 0.5000
```

# NaCd5Hg5
Computed X-ray powder pattern, Cu Kα, 1.54184 Å. Input: the PBE geometry in Alexandria.

The 10 most intense peaks (2θ = 15–90°), most intense first:
| Position (°2θ) | intensity |
| --- | --- |
| 33.9 | 100.0 |
| 31.5 | 86.0 |
| 39.0 | 70.9 |
| 35.3 | 65.0 |
| 37.8 | 55.9 |
| 38.3 | 50.2 |
| 29.6 | 37.0 |
| 33.6 | 26.8 |
| 35.0 | 23.4 |
| 43.3 | 22.8 |

Cell and atoms:
```
NaCd5Hg5
1.0
6.0528 0.0000 0.0000
2.8669 6.4416 0.0000
0.3479 3.5414 7.1162
Na Cd Hg
1 5 5
direct
0.0000 0.0000 0.0000
0.0000 0.5000 0.5000
0.3694 0.7654 0.3936
0.3986 0.5003 0.8291
0.6014 0.4997 0.1709
0.6306 0.2346 0.6063
0.1670 0.3378 0.1968
0.2234 0.0057 0.6407
0.5000 0.0000 0.0000
0.7766 0.9943 0.3593
0.8330 0.6622 0.8032
```

# Pm6Ge2Pt
Computed X-ray powder pattern, Cu Kα, 1.54184 Å. Input: the PBE geometry in Alexandria.

The 10 most intense peaks (2θ = 15–90°), most intense first:
| Position (°2θ) | intensity |
| --- | --- |
| 35.7 | 100.0 |
| 63.7 | 27.4 |
| 35.3 | 25.7 |
| 25.2 | 24.3 |
| 36.5 | 23.8 |
| 51.7 | 17.4 |
| 65.2 | 17.4 |
| 21.9 | 15.1 |
| 24.9 | 13.8 |
| 21.5 | 12.9 |

Cell and atoms:
```
Pm6Ge2Pt
1.0
-2.4631 3.5694 7.6257
2.4631 -3.5694 7.6257
2.4631 3.5694 -7.6257
Pm Ge Pt
6 2 1
direct
0.0801 0.8369 0.2432
0.2459 0.5000 0.7459
0.4062 0.1631 0.2432
0.5938 0.8369 0.7568
0.7541 0.5000 0.2541
0.9199 0.1631 0.7568
0.3307 0.3307 0.0000
0.6693 0.6693 0.0000
0.0000 0.0000 0.0000
```

# Ni3IrSe8
Computed X-ray powder pattern, Cu Kα, 1.54184 Å. Input: the PBE geometry in Alexandria.

The 10 most intense peaks (2θ = 15–90°), most intense first:
| Position (°2θ) | intensity |
| --- | --- |
| 33.6 | 100.0 |
| 46.4 | 44.2 |
| 50.1 | 37.1 |
| 17.8 | 29.5 |
| 63.1 | 17.5 |
| 61.7 | 16.7 |
| 83.3 | 14.2 |
| 70.6 | 10.3 |
| 53.5 | 9.4 |
| 22.7 | 7.3 |

Cell and atoms:
```
Ni3IrSe8
1.0
6.3100 -3.6438 0.0000
6.3100 3.6438 0.0000
-0.0081 0.0000 4.9957
Ni Ir Se
3 1 8
direct
0.0000 0.0000 0.0000
0.0000 0.5000 0.0000
0.5000 0.0000 0.0000
0.5000 0.5000 0.0000
0.1609 0.6700 0.2517
0.1669 0.1669 0.2282
0.3301 0.3301 0.7486
0.3300 0.8391 0.7483
0.6700 0.1609 0.2517
0.6699 0.6699 0.2514
0.8331 0.8331 0.7718
0.8391 0.3300 0.7483
```

Copy entry 11 word for word.
# Pm6Ge2Pt
Computed X-ray powder pattern, Cu Kα, 1.54184 Å. Input: the PBE geometry in Alexandria.

The 10 most intense peaks (2θ = 15–90°), most intense first:
| Position (°2θ) | intensity |
| --- | --- |
| 35.7 | 100.0 |
| 63.7 | 27.4 |
| 35.3 | 25.7 |
| 25.2 | 24.3 |
| 36.5 | 23.8 |
| 51.7 | 17.4 |
| 65.2 | 17.4 |
| 21.9 | 15.1 |
| 24.9 | 13.8 |
| 21.5 | 12.9 |

Cell and atoms:
```
Pm6Ge2Pt
1.0
-2.4631 3.5694 7.6257
2.4631 -3.5694 7.6257
2.4631 3.5694 -7.6257
Pm Ge Pt
6 2 1
direct
0.0801 0.8369 0.2432
0.2459 0.5000 0.7459
0.4062 0.1631 0.2432
0.5938 0.8369 0.7568
0.7541 0.5000 0.2541
0.9199 0.1631 0.7568
0.3307 0.3307 0.0000
0.6693 0.6693 0.0000
0.0000 0.0000 0.0000
```